Ca3H2O6: calculated powder X-ray diffraction pattern (Cu Ka), based on a GGA-PBE-relaxed structure.
Intensities are scaled so that the largest is 1000.

Principal peaks in the range 10 to 90 degrees two-theta, in order of falling intensity:
d 2.167, intensity 1000
d 2.827, intensity 779
d 2.722, intensity 731
d 2.163, intensity 643
d 3.519, intensity 571
d 5.642, intensity 552
d 5.245, intensity 496
d 3.010, intensity 463
d 1.900, intensity 427
d 1.821, intensity 403

Structure:
abc: 6.076 6.076 6.106
angles: 110.92 110.92 41.81
Atoms (fractional coordinates):
Ca (0.000, 0.000, 0.000)
Ca (0.312, 0.312, 0.285)
Ca (0.688, 0.688, 0.715)
H (0.179, 0.179, 0.562)
H (0.821, 0.821, 0.438)
O (0.126, 0.126, 0.389)
O (0.240, 0.240, 0.857)
O (0.384, 0.384, 0.982)
O (0.616, 0.616, 0.018)
O (0.760, 0.760, 0.143)
O (0.874, 0.874, 0.611)

K2TaTlF6: calculated powder X-ray diffraction pattern (Cu Ka), based on a GGA-PBE-relaxed structure.
Intensities are scaled so that the largest is 1000.

Principal peaks in the range 10 to 90 degrees two-theta, in order of falling intensity:
d 3.388, intensity 1000
d 4.792, intensity 716
d 1.956, intensity 403
d 2.396, intensity 337
d 2.143, intensity 333
d 1.281, intensity 229
d 1.515, intensity 212
d 1.694, intensity 211
d 1.597, intensity 167
d 1.129, intensity 110

Structure:
abc: 6.776 6.776 6.776
angles: 60.00 60.00 60.00
Atoms (fractional coordinates):
K (0.250, 0.250, 0.250)
K (0.750, 0.750, 0.750)
Ta (0.000, 0.000, 0.000)
Tl (0.500, 0.500, 0.500)
F (0.213, 0.213, 0.787)
F (0.213, 0.787, 0.213)
F (0.213, 0.787, 0.787)
F (0.787, 0.213, 0.213)
F (0.787, 0.213, 0.787)
F (0.787, 0.787, 0.213)

LaY3Ti4O14: calculated powder X-ray diffraction pattern (Cu Ka), based on a GGA-PBE-relaxed structure.
Intensities are scaled so that the largest is 1000.

Principal peaks in the range 10 to 90 degrees two-theta, in order of falling intensity:
d 2.965, intensity 1000
d 1.816, intensity 508
d 1.548, intensity 395
d 2.568, intensity 230
d 2.356, intensity 167
d 5.932, intensity 131
d 1.178, intensity 115
d 1.977, intensity 71
d 1.284, intensity 67
d 3.096, intensity 66

Structure:
abc: 7.258 7.258 7.258
angles: 60.08 60.08 60.08
Atoms (fractional coordinates):
La (0.000, 0.000, 0.000)
Y (0.000, 0.000, 0.500)
Y (0.000, 0.500, 0.000)
Y (0.500, 0.000, 0.000)
Ti (0.000, 0.500, 0.500)
Ti (0.500, 0.000, 0.500)
Ti (0.500, 0.500, 0.000)
Ti (0.500, 0.500, 0.500)
O (0.130, 0.130, 0.130)
O (0.172, 0.578, 0.578)
O (0.173, 0.173, 0.574)
O (0.173, 0.574, 0.173)
O (0.422, 0.422, 0.828)
O (0.422, 0.828, 0.422)
O (0.426, 0.827, 0.827)
O (0.574, 0.173, 0.173)
O (0.578, 0.172, 0.578)
O (0.578, 0.578, 0.172)
O (0.827, 0.426, 0.827)
O (0.827, 0.827, 0.426)
O (0.828, 0.422, 0.422)
O (0.870, 0.870, 0.870)